Diffraction record for Ba6Na2Nb2V2O17. The powder diffraction line list is theoretical, not measured: it uses DFT lattice parameters and positions (PBE+U) and Cu Kα (weighted mean of Kα1 and Kα2).

Structure:
```
data_Ba6Na2Nb2V2O17
_chemical_formula_sum 'Ba12 Na4 Nb4 V4 O34'
_space_group_name_H-M_alt 'P 63/m m c'
_space_group_IT_number 194
_space_group_name_Hall '-P 6c 2c'
_cell_length_a 6.0045
_cell_length_b 6.0045
_cell_length_c 30.5324
_cell_angle_alpha 90.00
_cell_angle_beta 90.00
_cell_angle_gamma 120.00
loop_
_atom_site_label
_atom_site_type_symbol
_atom_site_fract_x
_atom_site_fract_y
_atom_site_fract_z
Ba1 Ba 0.0000 0.0000 0.0000
Ba2 Ba 0.0000 0.0000 0.2500
Ba3 Ba 0.3333 0.6667 0.0901
Ba4 Ba 0.3333 0.6667 0.6824
Na1 Na 0.0000 0.0000 0.1238
Nb1 Nb 0.3333 0.6667 0.2012
V1 V 0.3333 0.6667 0.5516
O1 O 0.0276 0.5138 0.2500
O2 O 0.1747 0.3495 0.1697
O3 O 0.1756 0.3511 0.5715
O4 O 0.3333 0.6667 0.0050
```

Most intense lines, 2θ from 5° to 70°, sorted by position:
- 5.8 deg, rel. 23
- 20.7 deg, rel. 21
- 26.7 deg, rel. 26
- 29.0 deg, rel. 51
- 29.8 deg, rel. 100
- 42.0 deg, rel. 30